Structure and computed powder X-ray diffraction pattern of Tb2Al3Co (the GGA-PBE geometry in the Materials Project; Cu Kα, 1.54184 Å).
Neutral-atom scattering factors, no anomalous dispersion.

Structure:
```
data_Tb2Al3Co
_cell_length_a 5.4946
_cell_length_b 5.4946
_cell_length_c 13.0058
_cell_angle_alpha 90.00
_cell_angle_beta 90.00
_cell_angle_gamma 120.00
_symmetry_space_group_name_H-M 'R -3 m'
_symmetry_Int_Tables_number 166
_symmetry_space_group_name_Hall '-R 3 2"'
loop_
_atom_site_label
_atom_site_fract_x
_atom_site_fract_y
_atom_site_fract_z
Tb1 0.0000 0.0000 0.1264
Al1 0.0000 0.5000 0.0000
Co1 0.0000 0.0000 0.5000
```

Principal peaks in the range 2θ from 10° to 90°, low angle first:
19.87°, d 4.469, I = 44.9, hkl 1 0 1; 20.49°, d 4.335, I = 36.0, hkl 0 0 3; 32.59°, d 2.747, I = 97.7, hkl 1 1 0; 33.38°, d 2.685, I = 58.3, hkl 1 0 4; 38.46°, d 2.340, I = 29.2, hkl 0 2 1; 38.81°, d 2.321, I = 100.0, hkl 1 1 3; 39.48°, d 2.282, I = 43.0, hkl 0 1 5; 62.34°, d 1.490, I = 24.4, hkl 3 0 3



Structure and computed powder X-ray diffraction pattern of CaPmAu2 (the GGA-PBE geometry in the Materials Project; Cu Kα, 1.54184 Å).
Neutral-atom scattering factors, no anomalous dispersion.

Structure:
```
data_CaPmAu2
_cell_length_a 7.328
_cell_length_b 7.328
_cell_length_c 7.328
_cell_angle_alpha 90.00
_cell_angle_beta 90.00
_cell_angle_gamma 90.00
_symmetry_space_group_name_H-M 'F m -3 m'
_symmetry_Int_Tables_number 225
_symmetry_space_group_name_Hall '-F 4 2 3'
loop_
_atom_site_label
_atom_site_fract_x
_atom_site_fract_y
_atom_site_fract_z
Ca1 0.000 0.000 0.000
Pm1 0.000 0.000 0.500
Au1 0.250 0.250 0.250
```

Principal peaks in the range 2θ from 10° to 90°, low angle first:
21.00°, d 4.231, I = 7.3, hkl 1 1 1; 24.29°, d 3.664, I = 14.7, hkl 2 0 0; 34.62°, d 2.591, I = 100.0, hkl 2 2 0; 49.77°, d 1.832, I = 18.0, hkl 4 0 0; 56.13°, d 1.639, I = 6.7, hkl 4 2 0; 62.04°, d 1.496, I = 37.1, hkl 4 2 2; 73.04°, d 1.295, I = 11.6, hkl 4 4 0; 83.41°, d 1.159, I = 16.6, hkl 6 2 0



Structure and computed powder X-ray diffraction pattern of TbGaPd (the GGA-PBE geometry in the Materials Project; Cu Kα, 1.54184 Å).
Neutral-atom scattering factors, no anomalous dispersion.

Structure:
```
data_TbGaPd
_cell_length_a 6.978
_cell_length_b 4.491
_cell_length_c 7.681
_cell_angle_alpha 90.00
_cell_angle_beta 90.00
_cell_angle_gamma 90.00
_symmetry_space_group_name_H-M 'P n m a'
_symmetry_Int_Tables_number 62
loop_
_symmetry_equiv_pos_as_xyz
'x,y,z'
'-x,-y,-z'
'-x+1/2,-y,z+1/2'
'x+1/2,y,-z+1/2'
'x+1/2,-y+1/2,-z+1/2'
'-x+1/2,y+1/2,z+1/2'
'-x,y+1/2,-z'
'x,-y+1/2,z'
loop_
_atom_site_label
_atom_site_fract_x
_atom_site_fract_y
_atom_site_fract_z
Tb1 0.017 0.250 0.198
Ga1 0.176 0.250 0.576
Pd1 0.219 0.750 0.404
```

Principal peaks in the range 2θ from 10° to 90°, low angle first:
33.27°, d 2.693, I = 44.8, hkl 1 1 2; 34.59°, d 2.593, I = 100.0, hkl 2 1 1; 34.74°, d 2.582, I = 33.3, hkl 2 0 2; 37.42°, d 2.404, I = 13.6, hkl 1 0 3; 40.16°, d 2.246, I = 38.4, hkl 0 2 0; 40.55°, d 2.225, I = 62.7, hkl 0 1 3; 54.12°, d 1.695, I = 18.6, hkl 2 2 2; 66.49°, d 1.406, I = 18.9, hkl 3 1 4



Structure and computed powder X-ray diffraction pattern of Ba2Ti5Bi4O18 (the GGA-PBE geometry in the Materials Project; Cu Kα, 1.54184 Å).
Neutral-atom scattering factors, no anomalous dispersion.

Structure:
```
data_Ba2Ti5Bi4O18
_cell_length_a 3.927
_cell_length_b 3.927
_cell_length_c 48.896
_cell_angle_alpha 90.00
_cell_angle_beta 90.00
_cell_angle_gamma 90.00
_symmetry_space_group_name_H-M 'I 4/m m m'
_symmetry_Int_Tables_number 139
_symmetry_space_group_name_Hall '-I 4 2'
loop_
_atom_site_label
_atom_site_fract_x
_atom_site_fract_y
_atom_site_fract_z
Ba1 0.000 0.000 0.042
Ti1 0.000 0.000 0.332
Ti2 0.000 0.000 0.416
Ti3 0.000 0.000 0.500
Bi1 0.000 0.000 0.127
Bi2 0.000 0.000 0.224
O1 0.000 0.000 0.296
O2 0.000 0.000 0.377
O3 0.000 0.000 0.458
O4 0.000 0.500 0.000
O5 0.000 0.500 0.084
O6 0.000 0.500 0.160
O7 0.000 0.500 0.250
```

Principal peaks in the range 2θ from 10° to 90°, low angle first:
14.49°, d 6.112, I = 13.9, hkl 0 0 8; 22.72°, d 3.914, I = 19.9, hkl 1 0 1; 28.04°, d 3.182, I = 23.5, hkl 1 0 9; 30.37°, d 2.943, I = 100.0, hkl 1 0 11; 32.24°, d 2.777, I = 50.6, hkl 1 1 0; 39.26°, d 2.295, I = 29.4, hkl 1 1 12; 46.24°, d 1.963, I = 31.6, hkl 2 0 0; 56.33°, d 1.633, I = 35.7, hkl 2 1 11



Structure and computed powder X-ray diffraction pattern of Mg5Si9 (the GGA-PBE geometry in the Materials Project; Cu Kα, 1.54184 Å).
Neutral-atom scattering factors, no anomalous dispersion.

Structure:
```
data_Mg5Si9
_cell_length_a 7.532
_cell_length_b 7.535
_cell_length_c 10.832
_cell_angle_alpha 73.75
_cell_angle_beta 88.32
_cell_angle_gamma 60.70
_symmetry_space_group_name_H-M 'P 1'
_symmetry_Int_Tables_number 1
loop_
_symmetry_equiv_pos_as_xyz
'x,y,z'
loop_
_atom_site_label
_atom_site_fract_x
_atom_site_fract_y
_atom_site_fract_z
Mg1 0.000 0.000 0.000
Mg2 0.003 0.824 0.528
Mg3 0.202 0.674 0.279
Mg4 0.263 0.348 0.424
Mg5 0.473 0.691 0.960
Mg6 0.516 0.906 0.459
Mg7 0.593 0.321 0.136
Mg8 0.679 0.122 0.757
Mg9 0.697 0.972 0.275
Mg10 0.887 0.415 0.793
Si1 0.127 0.968 0.787
Si2 0.230 0.256 0.160
Si3 0.233 0.527 0.996
Si4 0.245 0.440 0.770
Si5 0.278 0.075 0.668
Si6 0.318 0.150 0.955
Si7 0.319 0.934 0.206
Si8 0.381 0.582 0.671
Si9 0.592 0.738 0.665
Si10 0.604 0.487 0.412
Si11 0.659 0.914 0.908
Si12 0.668 0.231 0.540
Si13 0.852 0.540 0.332
Si14 0.854 0.442 0.098
Si15 0.885 0.705 0.049
Si16 0.933 0.568 0.616
Si17 0.976 0.142 0.284
Si18 0.999 0.190 0.507
```

Principal peaks in the range 2θ from 10° to 90°, low angle first:
25.48°, d 3.496, I = 100.0, hkl 0 1 3; 28.88°, d 3.091, I = 53.2, hkl 2 1 2; 30.06°, d 2.973, I = 37.3, hkl 2 2 2; 32.29°, d 2.772, I = 76.5, hkl 0 2 3; 36.37°, d 2.470, I = 58.0, hkl 3 1 0; 39.20°, d 2.298, I = 60.8, hkl 1 0 4; 41.01°, d 2.201, I = 64.5, hkl 2 3 -1; 41.07°, d 2.198, I = 43.1, hkl 1 -2 1



Structure and computed powder X-ray diffraction pattern of Lu4C7 (the GGA-PBE geometry in the Materials Project; Cu Kα, 1.54184 Å).
Neutral-atom scattering factors, no anomalous dispersion.

Structure:
```
data_Lu4C7
_cell_length_a 3.605
_cell_length_b 13.530
_cell_length_c 6.291
_cell_angle_alpha 90.00
_cell_angle_beta 105.30
_cell_angle_gamma 90.00
_symmetry_space_group_name_H-M 'P 1 21/c 1'
_symmetry_Int_Tables_number 14
loop_
_symmetry_equiv_pos_as_xyz
'x,y,z'
'-x,-y,-z'
'-x,y+1/2,-z+1/2'
'x,-y+1/2,z+1/2'
loop_
_atom_site_label
_atom_site_fract_x
_atom_site_fract_y
_atom_site_fract_z
Lu1 0.057 0.160 0.160
Lu2 0.366 0.054 0.740
C1 0.000 0.000 0.000
C2 0.268 0.604 0.050
C3 0.378 0.697 0.045
C4 0.463 0.214 0.924
```

Principal peaks in the range 2θ from 10° to 90°, low angle first:
28.87°, d 3.092, I = 22.6, hkl 1 2 0; 29.17°, d 3.061, I = 29.0, hkl 1 2 -1; 29.44°, d 3.034, I = 26.7, hkl 0 0 2; 30.24°, d 2.955, I = 100.0, hkl 0 4 1; 32.79°, d 2.732, I = 32.4, hkl 1 3 -1; 33.58°, d 2.669, I = 20.6, hkl 1 1 1; 34.36°, d 2.610, I = 33.0, hkl 1 1 -2; 35.54°, d 2.526, I = 39.4, hkl 1 2 1